1.
Theoretical powder diffraction line list of Rb2LiTe for Cu Kα (weighted mean of Kα1 and Kα2), from a crystal structure in Alexandria, relaxed with PBE.
No peak broadening, texture or thermal motion is included.

Peak list (12 most intense, 2θ = 15–90°, sorted by position)
17.78 deg, I = 100
22.33 deg, I = 88
26.03 deg, I = 34
29.24 deg, I = 14
29.73 deg, I = 19
31.12 deg, I = 75
34.15 deg, I = 17
34.60 deg, I = 16
38.53 deg, I = 22
38.75 deg, I = 28
41.56 deg, I = 33
52.42 deg, I = 18

Cell and atoms:
Lattice parameters (Å, degrees): 9.8746 9.8746 10.5033 105.36 105.36 30.44
Element x y z (fractional)
Rb1 0.1385 0.1401 0.0694
Rb2 0.1401 0.1385 0.5694
Rb3 0.8599 0.8615 0.4306
Rb4 0.8615 0.8599 0.9306
Li1 0.4824 0.5176 0.7500
Li2 0.5176 0.4824 0.2500
Te1 0.0177 0.9823 0.2500
Te2 0.9823 0.0177 0.7500

---

2.
Theoretical powder diffraction line list of RbLiTl11 for Cu Kα (weighted mean of Kα1 and Kα2), from a crystal structure in Alexandria, relaxed with PBE.
No peak broadening, texture or thermal motion is included.

Peak list (12 most intense, 2θ = 15–90°, sorted by position)
16.40 deg, I = 40
27.98 deg, I = 51
28.36 deg, I = 39
30.72 deg, I = 77
31.39 deg, I = 100
31.61 deg, I = 72
31.87 deg, I = 85
33.15 deg, I = 54
35.07 deg, I = 85
35.33 deg, I = 45
36.14 deg, I = 39
36.28 deg, I = 70

Cell and atoms:
Lattice parameters (Å, degrees): 8.6231 8.6231 8.5126 96.48 96.48 137.10
Element x y z (fractional)
Rb1 0.0000 0.0000 0.0000
Li1 0.5000 0.5000 0.5000
Tl1 0.0000 0.0000 0.5000
Tl2 0.0000 0.5000 0.0000
Tl3 0.0037 0.3599 0.3617
Tl4 0.2976 0.5072 0.7771
Tl5 0.3599 0.0037 0.3617
Tl6 0.4928 0.7024 0.2229
Tl7 0.5000 0.0000 0.0000
Tl8 0.5072 0.2976 0.7771
Tl9 0.6401 0.9963 0.6383
Tl10 0.7024 0.4928 0.2229
Tl11 0.9963 0.6401 0.6383

---

3.
Theoretical powder diffraction line list of Rb2LiTl10 for Cu Kα (weighted mean of Kα1 and Kα2), from a crystal structure in Alexandria, relaxed with PBE.
No peak broadening, texture or thermal motion is included.

Peak list (12 most intense, 2θ = 15–90°, sorted by position)
26.59 deg, I = 90
27.38 deg, I = 53
28.91 deg, I = 78
29.91 deg, I = 90
30.35 deg, I = 81
32.16 deg, I = 71
33.32 deg, I = 88
34.14 deg, I = 58
34.77 deg, I = 80
37.18 deg, I = 69
40.96 deg, I = 74
49.67 deg, I = 100

Cell and atoms:
Lattice parameters (Å, degrees): 11.4476 11.9472 7.3374 90.00 90.00 90.00
Element x y z (fractional)
Rb1 0.2106 0.0730 0.0000
Rb2 0.2894 0.5730 0.0000
Rb3 0.7106 0.4270 0.0000
Rb4 0.7894 0.9270 0.0000
Li1 0.0000 0.5000 0.5000
Li2 0.5000 0.0000 0.5000
Tl1 0.0375 0.1346 0.5000
Tl2 0.0462 0.3509 0.2096
Tl3 0.0462 0.3509 0.7904
Tl4 0.1768 0.6749 0.5000
Tl5 0.2495 0.9197 0.5000
Tl6 0.2505 0.4197 0.5000
Tl7 0.3232 0.1749 0.5000
Tl8 0.4538 0.8509 0.2096
Tl9 0.4538 0.8509 0.7904
Tl10 0.4625 0.6346 0.5000
Tl11 0.5375 0.3654 0.5000
Tl12 0.5462 0.1491 0.2096
Tl13 0.5462 0.1491 0.7904
Tl14 0.6768 0.8251 0.5000
Tl15 0.7495 0.5803 0.5000
Tl16 0.7505 0.0803 0.5000
Tl17 0.8232 0.3251 0.5000
Tl18 0.9538 0.6491 0.2096
Tl19 0.9538 0.6491 0.7904
Tl20 0.9625 0.8654 0.5000

---

4.
Theoretical powder diffraction line list of Rb2LiTl2 for Cu Kα (weighted mean of Kα1 and Kα2), from a crystal structure in Alexandria, relaxed with PBE.
No peak broadening, texture or thermal motion is included.

Peak list (12 most intense, 2θ = 15–90°, sorted by position)
20.47 deg, I = 78
24.04 deg, I = 19
24.34 deg, I = 33
27.69 deg, I = 34
29.61 deg, I = 100
35.53 deg, I = 68
36.07 deg, I = 32
36.47 deg, I = 43
43.35 deg, I = 26
46.91 deg, I = 28
48.42 deg, I = 23
60.20 deg, I = 27

Cell and atoms:
Lattice parameters (Å, degrees): 11.4812 11.4812 11.4812 25.42 25.42 25.42
Element x y z (fractional)
Rb1 0.0701 0.0701 0.0701
Rb2 0.9299 0.9299 0.9299
Li1 0.5000 0.5000 0.5000
Tl1 0.1854 0.1854 0.1854
Tl2 0.8146 0.8146 0.8146

---

5.
Theoretical powder diffraction line list of RbLiZn2 for Cu Kα (weighted mean of Kα1 and Kα2), from a crystal structure in Alexandria, relaxed with PBE.
No peak broadening, texture or thermal motion is included.

Peak list (12 most intense, 2θ = 15–90°, sorted by position)
21.88 deg, I = 100
25.30 deg, I = 36
29.20 deg, I = 49
34.73 deg, I = 38
37.44 deg, I = 12
37.71 deg, I = 49
38.73 deg, I = 30
44.62 deg, I = 18
51.25 deg, I = 20
51.97 deg, I = 36
58.95 deg, I = 13
62.46 deg, I = 11

Cell and atoms:
Lattice parameters (Å, degrees): 10.0410 10.0410 10.0410 148.93 148.93 44.51
Element x y z (fractional)
Rb1 0.3750 0.6250 0.7500
Rb2 0.6250 0.3750 0.2500
Li1 0.1250 0.8750 0.2500
Li2 0.8750 0.1250 0.7500
Zn1 0.0000 0.0000 0.0000
Zn2 0.0000 0.0000 0.5000
Zn3 0.0000 0.5000 0.0000
Zn4 0.5000 0.0000 0.5000

---

6.
Theoretical powder diffraction line list of RbLiZn4 for Cu Kα (weighted mean of Kα1 and Kα2), from a crystal structure in Alexandria, relaxed with PBE.
No peak broadening, texture or thermal motion is included.

Peak list (12 most intense, 2θ = 15–90°, sorted by position)
19.11 deg, I = 32
22.11 deg, I = 20
31.46 deg, I = 15
37.08 deg, I = 100
38.79 deg, I = 57
45.09 deg, I = 12
49.40 deg, I = 11
56.02 deg, I = 6
59.75 deg, I = 34
65.68 deg, I = 27
77.89 deg, I = 10
78.97 deg, I = 19

Cell and atoms:
Lattice parameters (Å, degrees): 5.6867 5.6867 5.6867 60.00 60.00 60.00
Element x y z (fractional)
Rb1 0.0000 0.0000 0.0000
Li1 0.7500 0.7500 0.7500
Zn1 0.3792 0.3792 0.3792
Zn2 0.3792 0.3792 0.8624
Zn3 0.3792 0.8624 0.3792
Zn4 0.8624 0.3792 0.3792

---

7.
Theoretical powder diffraction line list of Li2Re3 for Cu Kα (weighted mean of Kα1 and Kα2), from a crystal structure in Alexandria, relaxed with PBE.
No peak broadening, texture or thermal motion is included.

Peak list (12 most intense, 2θ = 15–90°, sorted by position)
22.67 deg, I = 16
23.90 deg, I = 100
29.52 deg, I = 39
40.07 deg, I = 84
40.37 deg, I = 42
41.35 deg, I = 40
44.18 deg, I = 65
49.74 deg, I = 45
52.57 deg, I = 17
59.17 deg, I = 23
65.91 deg, I = 20
71.43 deg, I = 16

Cell and atoms:
Lattice parameters (Å, degrees): 8.0783 7.1140 5.0291 81.45 60.56 38.00
Element x y z (fractional)
Li1 0.0800 0.0800 0.6700
Li2 0.3300 0.3300 0.9200
Li3 0.6700 0.6700 0.0800
Li4 0.9200 0.9200 0.3300
Re1 0.1250 0.1250 0.1250
Re2 0.2803 0.2803 0.4697
Re3 0.4697 0.4697 0.2803
Re4 0.5303 0.5303 0.7197
Re5 0.7197 0.7197 0.5303
Re6 0.8750 0.8750 0.8750

---

8.
Theoretical powder diffraction line list of LiRe for Cu Kα (weighted mean of Kα1 and Kα2), from a crystal structure in Alexandria, relaxed with PBE.
No peak broadening, texture or thermal motion is included.

Peak list (12 most intense, 2θ = 15–90°, sorted by position)
16.73 deg, I = 100
26.51 deg, I = 30
35.12 deg, I = 12
39.84 deg, I = 32
41.01 deg, I = 33
41.53 deg, I = 17
42.75 deg, I = 30
45.07 deg, I = 17
51.03 deg, I = 14
56.20 deg, I = 12
59.84 deg, I = 15
77.93 deg, I = 9

Cell and atoms:
Lattice parameters (Å, degrees): 2.5745 4.3488 5.3402 90.00 97.05 90.00
Element x y z (fractional)
Li1 0.0904 0.2500 0.3954
Li2 0.9096 0.7500 0.6046
Re1 0.3737 0.7500 0.0935
Re2 0.6263 0.2500 0.9064

---

9.
Theoretical powder diffraction line list of Li5Re for Cu Kα (weighted mean of Kα1 and Kα2), from a crystal structure in Alexandria, relaxed with PBE.
No peak broadening, texture or thermal motion is included.

Peak list (12 most intense, 2θ = 15–90°, sorted by position)
18.38 deg, I = 100
24.59 deg, I = 49
30.87 deg, I = 26
34.54 deg, I = 42
35.11 deg, I = 80
36.77 deg, I = 69
39.40 deg, I = 81
42.86 deg, I = 49
47.00 deg, I = 38
50.08 deg, I = 30
51.33 deg, I = 28
51.71 deg, I = 28

Cell and atoms:
Lattice parameters (Å, degrees): 2.5967 2.5967 14.4812 90.00 90.00 90.00
Element x y z (fractional)
Li1 0.0000 0.0000 0.0000
Li2 0.0000 0.0000 0.3506
Li3 0.0000 0.0000 0.6494
Li4 0.5000 0.5000 0.1726
Li5 0.5000 0.5000 0.8274
Re1 0.5000 0.5000 0.5000

---

10.
Theoretical powder diffraction line list of LiRe for Cu Kα (weighted mean of Kα1 and Kα2), from a crystal structure in Alexandria, relaxed with PBE.
No peak broadening, texture or thermal motion is included.

Peak list (12 most intense, 2θ = 15–90°, sorted by position)
32.28 deg, I = 63
40.52 deg, I = 100
41.61 deg, I = 51
44.01 deg, I = 50
51.82 deg, I = 44
60.31 deg, I = 17
62.16 deg, I = 18
70.08 deg, I = 14
72.96 deg, I = 14
75.20 deg, I = 33
83.49 deg, I = 23
87.87 deg, I = 12

Cell and atoms:
Lattice parameters (Å, degrees): 3.0695 3.0695 6.4672 90.00 90.00 90.00
Element x y z (fractional)
Li1 0.2500 0.2500 0.1240
Li2 0.7500 0.7500 0.8760
Re1 0.2500 0.2500 0.6013
Re2 0.7500 0.7500 0.3987

---

11.
Theoretical powder diffraction line list of LiRe for Cu Kα (weighted mean of Kα1 and Kα2), from a crystal structure in Alexandria, relaxed with PBE.
No peak broadening, texture or thermal motion is included.

Peak list (12 most intense, 2θ = 15–90°, sorted by position)
20.18 deg, I = 100
38.92 deg, I = 19
39.33 deg, I = 37
41.01 deg, I = 74
47.26 deg, I = 12
47.95 deg, I = 24
52.20 deg, I = 17
63.69 deg, I = 9
69.61 deg, I = 16
83.57 deg, I = 10
84.60 deg, I = 19
88.95 deg, I = 9

Cell and atoms:
Lattice parameters (Å, degrees): 5.4034 5.4034 5.4034 120.45 120.45 89.21
Element x y z (fractional)
Li1 0.0000 0.0000 0.0000
Li2 0.0000 0.0000 0.5000
Li3 0.0000 0.5000 0.0000
Li4 0.5000 0.0000 0.5000
Re1 0.0000 0.5000 0.5000
Re2 0.5000 0.0000 0.0000
Re3 0.5000 0.5000 0.0000
Re4 0.5000 0.5000 0.5000

---

12.
Theoretical powder diffraction line list of LiTaReS2 for Cu Kα (weighted mean of Kα1 and Kα2), from a crystal structure in Alexandria, relaxed with PBE.
No peak broadening, texture or thermal motion is included.

Peak list (12 most intense, 2θ = 15–90°, sorted by position)
25.38 deg, I = 100
26.78 deg, I = 30
34.06 deg, I = 17
38.23 deg, I = 25
43.84 deg, I = 17
46.45 deg, I = 40
52.12 deg, I = 21
55.18 deg, I = 9
55.91 deg, I = 12
66.46 deg, I = 10
69.76 deg, I = 12
74.93 deg, I = 10

Cell and atoms:
Lattice parameters (Å, degrees): 4.7080 4.7080 5.2648 90.00 90.00 90.00
Element x y z (fractional)
Li1 0.0000 0.0000 0.0000
Ta1 0.0000 0.0000 0.5000
Re1 0.5000 0.5000 0.0000
S1 0.0000 0.5000 0.5000
S2 0.5000 0.0000 0.5000

---

13.
Theoretical powder diffraction line list of Li4ReSb for Cu Kα (weighted mean of Kα1 and Kα2), from a crystal structure in Alexandria, relaxed with PBE.
No peak broadening, texture or thermal motion is included.

Peak list (12 most intense, 2θ = 15–90°, sorted by position)
22.11 deg, I = 100
25.59 deg, I = 4
36.50 deg, I = 88
43.09 deg, I = 64
52.58 deg, I = 14
57.71 deg, I = 22
59.36 deg, I = 2
65.70 deg, I = 32
70.25 deg, I = 20
77.56 deg, I = 11
81.85 deg, I = 17
88.90 deg, I = 15

Cell and atoms:
Lattice parameters (Å, degrees): 4.9233 4.9233 4.9233 60.00 60.00 60.00
Element x y z (fractional)
Li1 0.1228 0.1228 0.1228
Li2 0.1228 0.1228 0.6315
Li3 0.1228 0.6315 0.1228
Li4 0.6315 0.1228 0.1228
Re1 0.7500 0.7500 0.7500
Sb1 0.5000 0.5000 0.5000

---

14.
Theoretical powder diffraction line list of LiSc2ReW for Cu Kα (weighted mean of Kα1 and Kα2), from a crystal structure in Alexandria, relaxed with PBE.
No peak broadening, texture or thermal motion is included.

Peak list (12 most intense, 2θ = 15–90°, sorted by position)
17.31 deg, I = 100
24.58 deg, I = 26
35.04 deg, I = 29
37.75 deg, I = 12
39.33 deg, I = 26
41.81 deg, I = 22
45.57 deg, I = 11
50.39 deg, I = 10
52.45 deg, I = 18
55.66 deg, I = 19
64.65 deg, I = 10
78.37 deg, I = 7

Cell and atoms:
Lattice parameters (Å, degrees): 5.1219 5.1219 4.7660 90.00 90.00 90.00
Element x y z (fractional)
Li1 0.0000 0.0000 0.0000
Sc1 0.0000 0.5000 0.5000
Sc2 0.5000 0.0000 0.5000
Re1 0.5000 0.5000 0.5000
W1 0.5000 0.5000 0.0000